Starting from a crystal structure in Alexandria, relaxed with GGA+U, the XRD peak list of K4H6W2S2O9 was calculated for Cu Kα.
No peak broadening, texture or thermal motion is included.

Largest 10 diffraction maxima, in order of rising 2θ, 2θ from 5° to 70°:
- 13.7 deg, d = 6.441 Å, I = 79.2, hkl 1 1 0
- 14.0 deg, d = 6.307 Å, I = 100.0, hkl 1 1 -1
- 18.9 deg, d = 4.689 Å, I = 65.2, hkl 0 0 4
- 20.9 deg, d = 4.259 Å, I = 35.5, hkl 1 1 3
- 21.6 deg, d = 4.120 Å, I = 80.4, hkl 2 0 2
- 22.2 deg, d = 4.005 Å, I = 59.6, hkl 1 1 -4
- 25.4 deg, d = 3.504 Å, I = 49.9, hkl 0 2 3
- 26.2 deg, d = 3.407 Å, I = 31.0, hkl 1 1 -5
- 27.6 deg, d = 3.234 Å, I = 48.0, hkl 2 2 -1
- 29.0 deg, d = 3.077 Å, I = 55.9, hkl 3 1 -2

Structure:
```
data_K4H6W2S2O9
_chemical_formula_sum 'K16 H24 W8 S8 O36'
_cell_length_a 10.079
_cell_length_b 8.461
_cell_length_c 19.027
_cell_angle_alpha 90.00
_cell_angle_beta 99.71
_cell_angle_gamma 90.00
_space_group_name_H-M_alt 'C 1 2/c 1'
_space_group_IT_number 15
loop_
_space_group_symop_operation_xyz
'x,y,z'
'-x,-y,-z'
'-x,y,-z+1/2'
'x,-y,z+1/2'
'x+1/2,y+1/2,z'
'-x+1/2,-y+1/2,-z'
'-x+1/2,y+1/2,-z+1/2'
'x+1/2,-y+1/2,z+1/2'
loop_
_atom_site_label
_atom_site_fract_x
_atom_site_fract_y
_atom_site_fract_z
K1 0.063 0.196 0.061
K2 0.209 0.009 0.784
H1 0.004 0.287 0.210
H2 0.237 0.314 0.580
H3 0.247 0.035 0.465
W1 0.075 0.383 0.880
S1 0.071 0.177 0.622
O1 0.000 0.212 0.250
O2 0.018 0.439 0.150
O3 0.163 0.410 0.970
O4 0.197 0.104 0.427
O5 0.199 0.336 0.825
```